Entry 1:
Theoretical powder X-ray diffraction pattern of KSb4Se8 for CuKα, from DFT lattice parameters and positions (GGA-PBE).
No peak broadening, texture or thermal motion is included.

Structure:
Cell: 8.405 8.405 8.405 Å, 60.00 60.00 60.00°
Element x y z (fractional)
K (0.000, 0.000, 0.000)
Sb (0.138, 0.621, 0.621)
Sb (0.621, 0.138, 0.621)
Sb (0.621, 0.621, 0.138)
Sb (0.621, 0.621, 0.621)
Se (0.379, 0.379, 0.379)
Se (0.379, 0.379, 0.862)
Se (0.379, 0.862, 0.379)
Se (0.429, 0.857, 0.857)
Se (0.857, 0.429, 0.857)
Se (0.857, 0.857, 0.429)
Se (0.857, 0.857, 0.857)
Se (0.862, 0.379, 0.379)

Peak list (10 most intense, 2θ = 5–70°, low angle first)
d [Å]  Rel. int.
6.863  712
3.584  372
2.972  1000
2.288  320
2.101  806
2.009  176
1.716  229
1.664  123
1.547  89
1.486  114



Entry 2:
Theoretical powder X-ray diffraction pattern of KSb2Te2Se for CuKα, from DFT lattice parameters and positions (GGA-PBE).
No peak broadening, texture or thermal motion is included.

Structure:
Cell: 8.277 7.025 8.951 Å, 90.00 107.49 90.00°
Element x y z (fractional)
K (0.220, 0.250, 0.279)
K (0.780, 0.750, 0.721)
Sb (0.340, 0.503, 0.820)
Sb (0.340, 0.997, 0.820)
Sb (0.660, 0.003, 0.180)
Sb (0.660, 0.497, 0.180)
Te (0.141, 0.750, 0.579)
Te (0.482, 0.750, 0.339)
Te (0.518, 0.250, 0.661)
Te (0.859, 0.250, 0.421)
Se (0.126, 0.250, 0.886)
Se (0.874, 0.750, 0.114)

Peak list (10 most intense, 2θ = 5–70°, low angle first)
d [Å]  Rel. int.
6.926  1000
5.084  359
4.119  628
3.528  708
3.356  390
3.133  341
3.028  495
2.662  347
2.271  584
2.106  542



Entry 3:
Theoretical powder X-ray diffraction pattern of K2SbTeSe4 for CuKα, from DFT lattice parameters and positions (GGA-PBE).
No peak broadening, texture or thermal motion is included.

Structure:
Cell: 8.673 8.673 8.604 Å, 117.28 117.28 89.97°
Element x y z (fractional)
K (0.000, 0.000, 0.000)
K (0.000, 0.000, 0.500)
K (0.000, 0.500, 0.000)
K (0.500, 0.000, 0.500)
Sb (0.500, 0.500, 0.000)
Sb (0.500, 0.500, 0.500)
Te (0.000, 0.500, 0.500)
Te (0.500, 0.000, 0.000)
Se (0.239, 0.712, 0.495)
Se (0.266, 0.301, 0.548)
Se (0.288, 0.761, 0.005)
Se (0.301, 0.266, 0.048)
Se (0.699, 0.734, 0.952)
Se (0.712, 0.239, 0.995)
Se (0.734, 0.699, 0.452)
Se (0.761, 0.288, 0.505)

Peak list (10 most intense, 2θ = 5–70°, low angle first)
d [Å]  Rel. int.
7.432  328
7.031  264
3.276  595
3.061  1000
2.336  192
2.238  377
2.164  340
2.146  180
1.858  177
1.758  187



Entry 4:
Theoretical powder X-ray diffraction pattern of K2TiSb2Se6 for CuKα, from DFT lattice parameters and positions (GGA-PBE).
No peak broadening, texture or thermal motion is included.

Structure:
Cell: 6.980 6.980 8.201 Å, 98.94 98.94 119.33°
Element x y z (fractional)
K (0.173, 0.827, 0.000)
K (0.827, 0.173, 0.000)
Ti (0.000, 0.000, 0.500)
Sb (0.331, 0.669, 0.500)
Sb (0.669, 0.331, 0.500)
Se (0.071, 0.377, 0.694)
Se (0.233, 0.233, 0.309)
Se (0.377, 0.071, 0.694)
Se (0.623, 0.929, 0.306)
Se (0.767, 0.767, 0.691)
Se (0.929, 0.623, 0.306)

Peak list (10 most intense, 2θ = 5–70°, low angle first)
d [Å]  Rel. int.
7.803  1000
3.049  448
2.983  916
2.401  231
2.254  250
2.227  145
2.028  300
2.008  148
1.826  150
1.677  207



Entry 5:
Theoretical powder X-ray diffraction pattern of K3USb3Se8 for CuKα, from DFT lattice parameters and positions (GGA-PBE).
No peak broadening, texture or thermal motion is included.

Structure:
Cell: 9.227 9.227 9.227 Å, 54.34 54.34 54.34°
Element x y z (fractional)
K (0.000, 0.500, 0.500)
K (0.500, 0.000, 0.500)
K (0.500, 0.500, 0.000)
U (0.500, 0.500, 0.500)
Sb (0.000, 0.000, 0.500)
Sb (0.000, 0.500, 0.000)
Sb (0.500, 0.000, 0.000)
Se (0.235, 0.235, 0.235)
Se (0.240, 0.730, 0.730)
Se (0.270, 0.270, 0.760)
Se (0.270, 0.760, 0.270)
Se (0.730, 0.240, 0.730)
Se (0.730, 0.730, 0.240)
Se (0.760, 0.270, 0.270)
Se (0.765, 0.765, 0.765)

Peak list (10 most intense, 2θ = 5–70°, low angle first)
d [Å]  Rel. int.
7.840  737
6.969  101
3.605  136
3.100  1000
2.472  251
2.289  333
2.106  358
2.034  159
1.845  145
1.742  181



Entry 6:
Theoretical powder X-ray diffraction pattern of K2SiSbTe4 for CuKα, from DFT lattice parameters and positions (GGA-PBE).
No peak broadening, texture or thermal motion is included.

Structure:
Cell: 9.143 9.143 9.143 Å, 122.38 117.80 89.89°
Element x y z (fractional)
K (0.000, 0.000, 0.000)
K (0.500, 0.000, 0.000)
K (0.500, 0.000, 0.500)
K (0.500, 0.500, 0.500)
Si (0.000, 0.000, 0.500)
Si (0.000, 0.500, 0.000)
Sb (0.000, 0.500, 0.500)
Sb (0.500, 0.500, 0.000)
Te (0.193, 0.742, 0.451)
Te (0.209, 0.258, 0.951)
Te (0.224, 0.243, 0.518)
Te (0.224, 0.706, 0.982)
Te (0.776, 0.294, 0.018)
Te (0.776, 0.757, 0.482)
Te (0.791, 0.742, 0.049)
Te (0.807, 0.258, 0.549)

Peak list (10 most intense, 2θ = 5–70°, low angle first)
d [Å]  Rel. int.
7.630  176
7.284  211
3.642  172
3.236  502
3.222  1000
2.283  644
2.203  211
1.907  157
1.821  279
1.611  153



What did the sixth record say?
Theoretical powder X-ray diffraction pattern of K2SiSbTe4 for CuKα, from DFT lattice parameters and positions (GGA-PBE).
No peak broadening, texture or thermal motion is included.

Structure:
Cell: 9.143 9.143 9.143 Å, 122.38 117.80 89.89°
Element x y z (fractional)
K (0.000, 0.000, 0.000)
K (0.500, 0.000, 0.000)
K (0.500, 0.000, 0.500)
K (0.500, 0.500, 0.500)
Si (0.000, 0.000, 0.500)
Si (0.000, 0.500, 0.000)
Sb (0.000, 0.500, 0.500)
Sb (0.500, 0.500, 0.000)
Te (0.193, 0.742, 0.451)
Te (0.209, 0.258, 0.951)
Te (0.224, 0.243, 0.518)
Te (0.224, 0.706, 0.982)
Te (0.776, 0.294, 0.018)
Te (0.776, 0.757, 0.482)
Te (0.791, 0.742, 0.049)
Te (0.807, 0.258, 0.549)

Peak list (10 most intense, 2θ = 5–70°, low angle first)
d [Å]  Rel. int.
7.630  176
7.284  211
3.642  172
3.236  502
3.222  1000
2.283  644
2.203  211
1.907  157
1.821  279
1.611  153